No. 1
KCeBe2F8: calculated powder diffractogram (Cu Kα (λ = 1.5418 Å)), based on a crystal structure in Alexandria, relaxed with GGA-PBE.

Peak list (12 most intense, 2θ from 10° to 80°, by angle)
2θ = 11.3°, d = 7.804 Å, rel. 54.9
2θ = 20.5°, d = 4.328 Å, rel. 46.1
2θ = 21.6°, d = 4.122 Å, rel. 47.6
2θ = 25.3°, d = 3.519 Å, rel. 100.0
2θ = 27.8°, d = 3.208 Å, rel. 27.4
2θ = 35.3°, d = 2.543 Å, rel. 39.9
2θ = 36.9°, d = 2.438 Å, rel. 23.5
2θ = 41.7°, d = 2.164 Å, rel. 18.3
2θ = 42.4°, d = 2.130 Å, rel. 67.7
2θ = 43.8°, d = 2.067 Å, rel. 17.9
2θ = 50.2°, d = 1.818 Å, rel. 16.6
2θ = 59.7°, d = 1.548 Å, rel. 18.1

Crystal structure
```
data_KCeBe2F8
_space_group_name_H-M_alt 'R 3 2'
_space_group_IT_number 155
_space_group_name_Hall 'R 3 2"'
_cell_length_a 5.0856
_cell_length_b 5.0856
_cell_length_c 23.4126
_cell_angle_alpha 90.00
_cell_angle_beta 90.00
_cell_angle_gamma 120.00
loop_
_atom_site_label
_atom_site_fract_x
_atom_site_fract_y
_atom_site_fract_z
_atom_site_occupancy
K1 0.0000 0.0000 0.0000 1
Ce1 0.0000 0.0000 0.5000 1
Be1 0.0000 0.0000 0.2546 1
F1 0.0000 0.0000 0.3179 1
F2 0.0078 0.2917 0.7726 1
```



No. 2
BaSr2UO6: calculated powder diffractogram (Cu Kα (λ = 1.5418 Å)), based on a crystal structure in Alexandria, relaxed with GGA-PBE.

Peak list (12 most intense, 2θ from 10° to 80°, by angle)
2θ = 17.2°, d = 5.148 Å, rel. 17.2
2θ = 17.5°, d = 5.058 Å, rel. 14.8
2θ = 28.2°, d = 3.170 Å, rel. 23.7
2θ = 28.6°, d = 3.123 Å, rel. 100.0
2θ = 28.9°, d = 3.087 Å, rel. 23.0
2θ = 40.8°, d = 2.211 Å, rel. 23.5
2θ = 40.9°, d = 2.205 Å, rel. 12.4
2θ = 50.1°, d = 1.821 Å, rel. 18.3
2θ = 50.4°, d = 1.810 Å, rel. 11.3
2θ = 50.9°, d = 1.794 Å, rel. 11.5
2θ = 51.1°, d = 1.789 Å, rel. 23.4
2θ = 59.2°, d = 1.561 Å, rel. 14.5

Crystal structure
```
data_BaSr2UO6
_space_group_name_H-M_alt 'P 1 c 1'
_space_group_IT_number 7
_cell_length_a 6.173
_cell_length_b 6.339
_cell_length_c 10.764
_cell_angle_alpha 90.00
_cell_angle_beta 124.96
_cell_angle_gamma 90.00
loop_
_space_group_symop_operation_xyz
'x,y,z'
'x,-y,z+1/2'
loop_
_atom_site_label
_atom_site_fract_x
_atom_site_fract_y
_atom_site_fract_z
_atom_site_occupancy
Ba1 0.000 0.213 0.000 1
Sr1 0.483 0.300 0.508 1
Sr2 0.742 0.246 0.252 1
U1 0.239 0.249 0.749 1
O1 0.013 0.440 0.792 1
O2 0.135 0.027 0.316 1
O3 0.368 0.491 0.185 1
O4 0.465 0.071 0.698 1
O5 0.557 0.304 0.975 1
O6 0.900 0.210 0.525 1
```



No. 3
NbAl4Zn: calculated powder diffractogram (Cu Kα (λ = 1.5418 Å)), based on a crystal structure in Alexandria, relaxed with GGA-PBE.

Peak list (12 most intense, 2θ from 10° to 80°, by angle)
2θ = 21.4°, d = 4.147 Å, rel. 35.5
2θ = 25.5°, d = 3.488 Å, rel. 46.1
2θ = 31.1°, d = 2.879 Å, rel. 28.1
2θ = 37.5°, d = 2.399 Å, rel. 100.0
2θ = 40.2°, d = 2.245 Å, rel. 81.9
2θ = 43.6°, d = 2.077 Å, rel. 22.1
2θ = 44.0°, d = 2.057 Å, rel. 31.3
2θ = 44.2°, d = 2.051 Å, rel. 31.0
2θ = 47.3°, d = 1.923 Å, rel. 25.3
2θ = 66.6°, d = 1.405 Å, rel. 23.4
2θ = 66.7°, d = 1.403 Å, rel. 17.5
2θ = 75.0°, d = 1.266 Å, rel. 14.3

Crystal structure
```
data_NbAl4Zn
_space_group_name_H-M_alt 'P 1 2/m 1'
_space_group_IT_number 10
_cell_length_a 3.070
_cell_length_b 3.845
_cell_length_c 8.294
_cell_angle_alpha 90.00
_cell_angle_beta 90.17
_cell_angle_gamma 90.00
loop_
_space_group_symop_operation_xyz
'x,y,z'
'-x,-y,-z'
'-x,y,-z'
'x,-y,z'
loop_
_atom_site_label
_atom_site_fract_x
_atom_site_fract_y
_atom_site_fract_z
_atom_site_occupancy
Nb1 0.000 0.000 0.000 1
Al1 0.002 0.000 0.335 1
Al2 0.500 0.500 0.168 1
Zn1 0.500 0.500 0.500 1
```



No. 4
Nd3Mg7Pt4: calculated powder diffractogram (Cu Kα (λ = 1.5418 Å)), based on a crystal structure in Alexandria, relaxed with GGA-PBE.

Peak list (12 most intense, 2θ from 10° to 80°, by angle)
2θ = 20.4°, d = 4.361 Å, rel. 90.0
2θ = 25.4°, d = 3.502 Å, rel. 64.7
2θ = 26.4°, d = 3.382 Å, rel. 48.4
2θ = 28.6°, d = 3.120 Å, rel. 57.1
2θ = 32.3°, d = 2.769 Å, rel. 49.3
2θ = 33.0°, d = 2.717 Å, rel. 77.1
2θ = 34.1°, d = 2.631 Å, rel. 61.3
2θ = 34.5°, d = 2.600 Å, rel. 100.0
2θ = 39.3°, d = 2.292 Å, rel. 37.9
2θ = 40.2°, d = 2.242 Å, rel. 65.5
2θ = 41.7°, d = 2.164 Å, rel. 61.6
2θ = 44.5°, d = 2.037 Å, rel. 41.9

Crystal structure
```
data_Nd3Mg7Pt4
_space_group_name_H-M_alt 'C 1 2/m 1'
_space_group_IT_number 12
_cell_length_a 16.303
_cell_length_b 4.327
_cell_length_c 10.527
_cell_angle_alpha 90.00
_cell_angle_beta 124.05
_cell_angle_gamma 90.00
loop_
_space_group_symop_operation_xyz
'x,y,z'
'-x,-y,-z'
'-x,y,-z'
'x,-y,z'
'x+1/2,y+1/2,z'
'-x+1/2,-y+1/2,-z'
'-x+1/2,y+1/2,-z'
'x+1/2,-y+1/2,z'
loop_
_atom_site_label
_atom_site_fract_x
_atom_site_fract_y
_atom_site_fract_z
_atom_site_occupancy
Nd1 0.000 0.000 0.000 1
Nd2 0.195 0.500 0.712 1
Mg1 0.000 0.000 0.500 1
Mg2 0.013 0.500 0.295 1
Mg3 0.169 0.000 0.430 1
Mg4 0.180 0.500 0.014 1
Pt1 0.110 0.000 0.821 1
Pt2 0.164 0.500 0.260 1
```



No. 5
Sr3LiB2S6: calculated powder diffractogram (Cu Kα (λ = 1.5418 Å)), based on a crystal structure in Alexandria, relaxed with GGA-PBE.

Peak list (12 most intense, 2θ from 10° to 80°, by angle)
2θ = 11.5°, d = 7.706 Å, rel. 15.9
2θ = 19.3°, d = 4.588 Å, rel. 79.6
2θ = 27.0°, d = 3.297 Å, rel. 43.7
2θ = 27.9°, d = 3.194 Å, rel. 38.4
2θ = 33.5°, d = 2.677 Å, rel. 100.0
2θ = 34.9°, d = 2.569 Å, rel. 18.4
2θ = 38.4°, d = 2.343 Å, rel. 16.8
2θ = 39.3°, d = 2.294 Å, rel. 57.2
2θ = 43.5°, d = 2.078 Å, rel. 20.4
2θ = 44.7°, d = 2.026 Å, rel. 16.5
2θ = 48.3°, d = 1.883 Å, rel. 15.5
2θ = 55.8°, d = 1.649 Å, rel. 24.8

Crystal structure
```
data_Sr3LiB2S6
_space_group_name_H-M_alt 'P -3 m 1'
_space_group_IT_number 164
_space_group_name_Hall '-P 3 2"'
_cell_length_a 6.5941
_cell_length_b 6.5941
_cell_length_c 7.7061
_cell_angle_alpha 90.00
_cell_angle_beta 90.00
_cell_angle_gamma 120.00
loop_
_atom_site_label
_atom_site_fract_x
_atom_site_fract_y
_atom_site_fract_z
_atom_site_occupancy
Sr1 0.0000 0.0000 0.0000 1
Sr2 0.3333 0.6667 0.6333 1
Li1 0.0000 0.0000 0.5000 1
B1 0.3333 0.6667 0.2604 1
S1 0.1748 0.3496 0.2842 1
```



No. 6
Ac2Ge7Pt12: calculated powder diffractogram (Cu Kα (λ = 1.5418 Å)), based on a crystal structure in Alexandria, relaxed with GGA-PBE.

Peak list (12 most intense, 2θ from 10° to 80°, by angle)
2θ = 26.7°, d = 3.336 Å, rel. 9.7
2θ = 34.4°, d = 2.610 Å, rel. 100.0
2θ = 35.2°, d = 2.548 Å, rel. 9.3
2θ = 36.7°, d = 2.448 Å, rel. 9.2
2θ = 41.5°, d = 2.177 Å, rel. 14.0
2θ = 42.8°, d = 2.114 Å, rel. 15.9
2θ = 43.2°, d = 2.096 Å, rel. 23.3
2θ = 44.8°, d = 2.025 Å, rel. 11.3
2θ = 47.2°, d = 1.926 Å, rel. 11.6
2θ = 63.9°, d = 1.456 Å, rel. 7.9
2θ = 65.9°, d = 1.418 Å, rel. 8.6
2θ = 73.5°, d = 1.289 Å, rel. 11.4

Crystal structure
```
data_Ac2Ge7Pt12
_space_group_name_H-M_alt 'P -6'
_space_group_IT_number 174
_cell_length_a 10.1920
_cell_length_b 10.1920
_cell_length_c 4.1911
_cell_angle_alpha 90.00
_cell_angle_beta 90.00
_cell_angle_gamma 120.00
loop_
_space_group_symop_operation_xyz
'x,y,z'
'-x+y,-x,-z'
'-y,x-y,z'
'x,y,-z'
'-x+y,-x,z'
'-y,x-y,-z'
loop_
_atom_site_label
_atom_site_fract_x
_atom_site_fract_y
_atom_site_fract_z
_atom_site_occupancy
Ac1 0.0000 0.0000 0.0000 1
Ac2 0.3333 0.6667 0.5000 1
Ge1 0.0444 0.5841 0.0000 1
Ge2 0.2667 0.0194 0.5000 1
Ge3 0.6667 0.3333 0.0000 1
Pt1 0.0230 0.7623 0.5000 1
Pt2 0.1414 0.3921 0.0000 1
Pt3 0.3868 0.1924 0.0000 1
Pt4 0.5475 0.1169 0.5000 1
```



No. 7
ThCrB14: calculated powder diffractogram (Cu Kα (λ = 1.5418 Å)), based on a crystal structure in Alexandria, relaxed with GGA-PBE.

Peak list (12 most intense, 2θ from 10° to 80°, by angle)
2θ = 13.4°, d = 6.595 Å, rel. 48.4
2θ = 16.3°, d = 5.441 Å, rel. 100.0
2θ = 18.6°, d = 4.778 Å, rel. 48.4
2θ = 24.8°, d = 3.590 Å, rel. 77.2
2θ = 27.6°, d = 3.229 Å, rel. 96.9
2θ = 33.5°, d = 2.674 Å, rel. 84.2
2θ = 34.8°, d = 2.575 Å, rel. 24.7
2θ = 36.3°, d = 2.473 Å, rel. 62.1
2θ = 38.1°, d = 2.364 Å, rel. 25.0
2θ = 39.7°, d = 2.271 Å, rel. 31.9
2θ = 41.1°, d = 2.196 Å, rel. 66.2
2θ = 49.8°, d = 1.830 Å, rel. 25.1

Crystal structure
```
data_ThCrB14
_space_group_name_H-M_alt 'I m m a'
_space_group_IT_number 74
_space_group_name_Hall '-I 2b 2'
_cell_length_a 5.846
_cell_length_b 10.882
_cell_length_c 8.290
_cell_angle_alpha 90.00
_cell_angle_beta 90.00
_cell_angle_gamma 90.00
loop_
_atom_site_label
_atom_site_fract_x
_atom_site_fract_y
_atom_site_fract_z
_atom_site_occupancy
Th1 0.000 0.250 0.125 1
Cr1 0.250 0.250 0.750 1
B1 0.000 0.083 0.669 1
B2 0.000 0.126 0.864 1
B3 0.000 0.167 0.470 1
B4 0.162 0.061 0.340 1
B5 0.249 0.077 0.550 1
```